For LaZnGeCl, a PBE-relaxed structure gives the computed X-ray powder pattern in this record (Cu Kα (λ = 1.5418 Å)).
Lines closer than 0.1° are merged.

Atomic structure:
Cell lengths 13.4052, 13.4052, 13.4052 Å; angles 18.54, 18.54, 18.54 degrees
Fractional positions:
La  0.0850  0.0850  0.0850
La  0.9150  0.9150  0.9150
Zn  0.3084  0.3084  0.3084
Zn  0.6916  0.6916  0.6916
Ge  0.3755  0.3755  0.3755
Ge  0.6245  0.6245  0.6245
Cl  0.2075  0.2075  0.2075
Cl  0.7925  0.7925  0.7925

Peak list (12 most intense, 2θ = 10–90°, sorted by position)
| 2theta | I (rel.) |
| --- | --- |
| 13.4 | 486 |
| 25.5 | 570 |
| 26.4 | 345 |
| 28.6 | 725 |
| 33.0 | 598 |
| 34.6 | 218 |
| 38.2 | 640 |
| 41.8 | 1000 |
| 46.0 | 348 |
| 57.9 | 186 |
| 60.1 | 269 |
| 79.4 | 217 |



For Li2GeCl6, a PBE-relaxed structure gives the computed X-ray powder pattern in this record (Cu Kα (λ = 1.5418 Å)).
Lines closer than 0.1° are merged.

Atomic structure:
Cell lengths 6.1376, 6.2640, 10.5862 Å; angles 90.00, 90.00, 90.00 degrees
Fractional positions:
Li  0.0000  0.0000  0.1780
Li  0.0000  0.0000  0.8220
Li  0.5000  0.5000  0.3220
Li  0.5000  0.5000  0.6780
Ge  0.0000  0.5000  0.0000
Ge  0.5000  0.0000  0.5000
Cl  0.2156  0.3382  0.1562
Cl  0.2156  0.3382  0.8438
Cl  0.2182  0.8002  0.0000
Cl  0.2818  0.3002  0.5000
Cl  0.2844  0.8382  0.3438
Cl  0.2844  0.8382  0.6562
Cl  0.7156  0.1618  0.3438
Cl  0.7156  0.1618  0.6562
Cl  0.7182  0.6998  0.5000
Cl  0.7818  0.1998  0.0000
Cl  0.7844  0.6618  0.1562
Cl  0.7844  0.6618  0.8438

Peak list (12 most intense, 2θ = 10–90°, sorted by position)
| 2theta | I (rel.) |
| --- | --- |
| 16.4 | 518 |
| 16.7 | 1000 |
| 20.3 | 224 |
| 26.4 | 198 |
| 32.1 | 335 |
| 32.6 | 783 |
| 41.2 | 274 |
| 41.6 | 332 |
| 50.8 | 230 |
| 51.8 | 112 |
| 53.8 | 144 |
| 54.3 | 124 |



For LiGe2Cl4, a PBE-relaxed structure gives the computed X-ray powder pattern in this record (Cu Kα (λ = 1.5418 Å)).
Lines closer than 0.1° are merged.

Atomic structure:
Cell lengths 7.0394, 7.0394, 7.8585 Å; angles 90.00, 90.00, 90.00 degrees
Fractional positions:
Li  0.0000  0.0000  0.0000
Li  0.5000  0.5000  0.5000
Ge  0.0000  0.5000  0.2500
Ge  0.0000  0.5000  0.7500
Ge  0.5000  0.0000  0.2500
Ge  0.5000  0.0000  0.7500
Cl  0.1744  0.6947  0.0000
Cl  0.1947  0.3256  0.5000
Cl  0.3053  0.1744  0.0000
Cl  0.3256  0.8053  0.5000
Cl  0.6744  0.1947  0.5000
Cl  0.6947  0.8256  0.0000
Cl  0.8053  0.6744  0.5000
Cl  0.8256  0.3053  0.0000

Peak list (12 most intense, 2θ = 10–90°, sorted by position)
| 2theta | I (rel.) |
| --- | --- |
| 17.8 | 1000 |
| 29.0 | 376 |
| 30.6 | 349 |
| 34.2 | 798 |
| 36.1 | 282 |
| 46.2 | 122 |
| 46.9 | 471 |
| 49.9 | 127 |
| 60.0 | 119 |
| 77.8 | 131 |
| 83.8 | 133 |
| 86.1 | 148 |



For Li2GeCl4, a PBE-relaxed structure gives the computed X-ray powder pattern in this record (Cu Kα (λ = 1.5418 Å)).
Lines closer than 0.1° are merged.

Atomic structure:
Cell lengths 7.9272, 7.7193, 9.8477 Å; angles 51.94, 50.06, 78.00 degrees
Fractional positions:
Li  0.2725  0.7275  0.3161
Li  0.5661  0.9339  0.5225
Li  0.7275  0.2725  0.6839
Li  0.9339  0.5661  0.9775
Ge  0.2199  0.2199  0.2801
Ge  0.9699  0.9699  0.0301
Cl  0.1177  0.3222  0.5396
Cl  0.1514  0.8074  0.5623
Cl  0.2295  0.7104  0.9278
Cl  0.3222  0.1177  0.0205
Cl  0.6877  0.7710  0.0986
Cl  0.7104  0.2295  0.1323
Cl  0.7710  0.6877  0.4426
Cl  0.8074  0.1514  0.4790

Peak list (12 most intense, 2θ = 10–90°, sorted by position)
| 2theta | I (rel.) |
| --- | --- |
| 15.3 | 1000 |
| 18.0 | 221 |
| 23.5 | 631 |
| 28.0 | 246 |
| 29.0 | 451 |
| 31.0 | 448 |
| 34.7 | 207 |
| 38.2 | 503 |
| 40.1 | 236 |
| 47.3 | 252 |
| 51.0 | 235 |
| 51.2 | 165 |



For LiGeSCl, a PBE-relaxed structure gives the computed X-ray powder pattern in this record (Cu Kα (λ = 1.5418 Å)).
Lines closer than 0.1° are merged.

Atomic structure:
Cell lengths 3.7276, 3.7276, 22.6453 Å; angles 90.00, 90.00, 120.00 degrees
Fractional positions:
Li  0.0000  0.0000  0.0000
Li  0.3333  0.6667  0.6667
Li  0.6667  0.3333  0.3333
Ge  0.0000  0.0000  0.1618
Ge  0.3333  0.6667  0.8285
Ge  0.6667  0.3333  0.4951
S  0.0000  0.0000  0.8859
S  0.3333  0.6667  0.5525
S  0.6667  0.3333  0.2192
Cl  0.0000  0.0000  0.7027
Cl  0.3333  0.6667  0.3694
Cl  0.6667  0.3333  0.0361

Peak list (12 most intense, 2θ = 10–90°, sorted by position)
| 2theta | I (rel.) |
| --- | --- |
| 11.7 | 877 |
| 23.6 | 437 |
| 27.9 | 366 |
| 28.8 | 553 |
| 31.9 | 1000 |
| 34.1 | 273 |
| 39.4 | 559 |
| 48.9 | 447 |
| 52.7 | 322 |
| 54.9 | 226 |
| 59.6 | 151 |
| 64.5 | 162 |



For Mg2GeCl, a PBE-relaxed structure gives the computed X-ray powder pattern in this record (Cu Kα (λ = 1.5418 Å)).
Lines closer than 0.1° are merged.

Atomic structure:
Cell lengths 6.2444, 6.2444, 11.4595 Å; angles 90.00, 90.00, 90.00 degrees
Fractional positions:
Mg  0.2448  0.2500  0.1250
Mg  0.2500  0.7448  0.3750
Mg  0.2500  0.7552  0.8750
Mg  0.2552  0.2500  0.6250
Mg  0.7448  0.7500  0.6250
Mg  0.7500  0.2448  0.8750
Mg  0.7500  0.2552  0.3750
Mg  0.7552  0.7500  0.1250
Ge  0.0000  0.0000  0.0000
Ge  0.0000  0.5000  0.2500
Ge  0.5000  0.0000  0.7500
Ge  0.5000  0.5000  0.5000
Cl  0.0000  0.0000  0.5000
Cl  0.0000  0.5000  0.7500
Cl  0.5000  0.0000  0.2500
Cl  0.5000  0.5000  0.0000

Peak list (12 most intense, 2θ = 10–90°, sorted by position)
| 2theta | I (rel.) |
| --- | --- |
| 16.2 | 135 |
| 25.5 | 1000 |
| 28.6 | 88 |
| 40.9 | 236 |
| 42.8 | 410 |
| 48.8 | 311 |
| 52.2 | 126 |
| 59.2 | 75 |
| 65.5 | 62 |
| 68.3 | 108 |
| 75.8 | 140 |
| 80.1 | 68 |